The following is a theoretical X-ray diffraction stick pattern of NaZnP2HO7. It was derived from a crystal structure in Alexandria, relaxed with GGA-PBE, using copper Kα.
Intensities are scaled so that the largest is 100.

Cell and atoms:
```
data_NaZnP2HO7
_cell_length_a 6.586
_cell_length_b 6.603
_cell_length_c 6.837
_cell_angle_alpha 66.42
_cell_angle_beta 84.28
_cell_angle_gamma 87.87
_space_group_name_H-M_alt 'P -1'
_space_group_IT_number 2
_space_group_name_Hall '-P 1'
loop_
_atom_site_label
_atom_site_type_symbol
_atom_site_fract_x
_atom_site_fract_y
_atom_site_fract_z
Na1 Na 0.162 0.311 0.235
Zn1 Zn 0.351 0.719 0.372
P1 P 0.143 0.265 0.716
P2 P 0.376 0.838 0.863
H1 H 0.214 0.578 0.794
O1 O 0.035 0.763 0.397
O2 O 0.095 0.387 0.865
O3 O 0.210 0.020 0.873
O4 O 0.293 0.733 0.716
O5 O 0.331 0.367 0.552
O6 O 0.377 0.667 0.091
O7 O 0.422 0.047 0.245
```

Most intense lines, 15 to 90 degrees two-theta, by intensity:
(2 -1 0), 2θ 31.0, I 100; (0 1 1), 2θ 15.8, I 61; (1 1 2), 2θ 28.6, I 54; (0 2 0), 2θ 29.5, I 54; (0 1 2), 2θ 26.4, I 44; (1 -1 0), 2θ 19.9, I 25

The following is a theoretical X-ray diffraction stick pattern of NaZn2P2HO8. It was derived from a crystal structure in Alexandria, relaxed with GGA-PBE, using copper Kα.
Intensities are scaled so that the largest is 100.

Cell and atoms:
```
data_NaZn2P2HO8
_cell_length_a 5.178
_cell_length_b 8.738
_cell_length_c 8.969
_cell_angle_alpha 97.14
_cell_angle_beta 100.16
_cell_angle_gamma 106.37
_space_group_name_H-M_alt 'P -1'
_space_group_IT_number 2
_space_group_name_Hall '-P 1'
loop_
_atom_site_label
_atom_site_type_symbol
_atom_site_fract_x
_atom_site_fract_y
_atom_site_fract_z
Na1 Na 0.091 0.314 0.313
Zn1 Zn 0.177 0.883 0.107
Zn2 Zn 0.277 0.386 0.742
P1 P 0.343 0.747 0.416
P2 P 0.407 0.250 0.061
H1 H 0.421 0.933 0.621
O1 O 0.088 0.597 0.345
O2 O 0.223 0.239 0.895
O3 O 0.224 0.115 0.129
O4 O 0.296 0.817 0.579
O5 O 0.311 0.770 0.951
O6 O 0.370 0.883 0.319
O7 O 0.392 0.303 0.556
O8 O 0.440 0.411 0.165
```

Most intense lines, 15 to 90 degrees two-theta, by intensity:
(0 1 1), 2θ 16.1, I 100; (-1 1 1), 2θ 19.8, I 81; (1 -1 2), 2θ 29.0, I 68; (1 -2 0), 2θ 23.6, I 67; (0 2 -2), 2θ 27.0, I 53; (0 3 -1), 2θ 32.3, I 52

The following is a theoretical X-ray diffraction stick pattern of Na4ZnP6H12O24. It was derived from a crystal structure in Alexandria, relaxed with GGA-PBE, using copper Kα.
Intensities are scaled so that the largest is 100.

Cell and atoms:
```
data_Na4ZnP6H12O24
_cell_length_a 7.448
_cell_length_b 9.197
_cell_length_c 9.400
_cell_angle_alpha 64.30
_cell_angle_beta 75.10
_cell_angle_gamma 72.12
_space_group_name_H-M_alt 'P -1'
_space_group_IT_number 2
_space_group_name_Hall '-P 1'
loop_
_atom_site_label
_atom_site_type_symbol
_atom_site_fract_x
_atom_site_fract_y
_atom_site_fract_z
Na1 Na 0.127 0.222 0.023
Na2 Na 0.348 0.847 0.906
Zn1 Zn 0.500 0.000 0.500
P1 P 0.189 0.758 0.626
P2 P 0.350 0.874 0.286
P3 P 0.460 0.434 0.759
H1 H 0.019 0.887 0.176
H2 H 0.160 0.163 0.702
H3 H 0.176 0.210 0.413
H4 H 0.220 0.579 0.142
H5 H 0.246 0.529 0.000
H6 H 0.308 0.315 0.417
O1 O 0.014 0.227 0.295
O2 O 0.113 0.118 0.818
O3 O 0.178 0.620 0.036
O4 O 0.186 0.823 0.437
O5 O 0.262 0.925 0.139
O6 O 0.265 0.208 0.478
O7 O 0.286 0.563 0.665
O8 O 0.318 0.837 0.657
O9 O 0.365 0.497 0.292
O10 O 0.385 0.362 0.934
O11 O 0.441 0.994 0.295
O12 O 0.488 0.296 0.685
```

Most intense lines, 15 to 90 degrees two-theta, by intensity:
(2 2 1), 2θ 27.1, I 100; (1 -2 0), 2θ 27.9, I 91; (1 1 -2), 2θ 30.7, I 80; (0 1 3), 2θ 29.5, I 64; (2 1 -1), 2θ 30.5, I 61; (2 -2 0), 2θ 37.6, I 60

What is the formula in the first record?
NaZnP2HO7